Record 1
Starting from a cell relaxed with PBE, the powder diffractogram of CsNa2Si17 was computed for a wavelength of 1.5418 Å.
No peak broadening, texture or thermal motion is included.

Structure:
abc: 14.839 14.839 14.839
angles: 90.00 90.00 90.00
Space group Fd-3m (No. 227, origin choice 2)
One atom of each set of equivalent atoms:
Cs: 0.125 0.125 0.125
Na: 0.000 0.000 0.500
Si: 0.033 0.033 0.717
Si: 0.068 0.068 0.870
Si: 0.125 0.125 0.625

The 10 most intense peaks (2θ from 5° to 70°), in order of rising 2θ:
23.99°, d = 3.710 Å, rel. 26.1, (4 0 0)
26.18°, d = 3.404 Å, rel. 30.8, (3 3 1)
29.49°, d = 3.029 Å, rel. 68.6, (4 2 2)
31.32°, d = 2.856 Å, rel. 100.0, (5 1 1)
34.18°, d = 2.623 Å, rel. 55.6, (4 4 0)
43.56°, d = 2.078 Å, rel. 15.7, (5 5 1)
45.76°, d = 1.983 Å, rel. 21.3, (6 4 2)
50.33°, d = 1.813 Å, rel. 26.6, (7 3 3)
52.31°, d = 1.749 Å, rel. 87.3, (6 6 0)
53.48°, d = 1.713 Å, rel. 18.9, (5 5 5)

---

Record 2
Starting from a cell relaxed with PBE, the powder diffractogram of CsNaTe was computed for a wavelength of 1.5418 Å.
No peak broadening, texture or thermal motion is included.

Structure:
abc: 5.361 5.361 8.677
angles: 90.00 90.00 90.00
Space group P4/nmm (No. 129, origin choice 2)
One atom of each set of equivalent atoms:
Cs: 0.250 0.250 0.158
Na: 0.250 0.750 0.500
Te: 0.250 0.250 0.700

The 10 most intense peaks (2θ from 5° to 70°), in order of rising 2θ:
20.47°, d = 4.338 Å, rel. 20.9, (0 0 2)
23.47°, d = 3.791 Å, rel. 96.4, (1 1 0)
26.43°, d = 3.372 Å, rel. 100.0, (1 0 2)
31.34°, d = 2.855 Å, rel. 55.2, (1 1 2)
33.43°, d = 2.680 Å, rel. 57.1, (2 0 0)
43.11°, d = 2.098 Å, rel. 52.6, (2 1 2)
45.09°, d = 2.011 Å, rel. 28.7, (1 0 4)
48.00°, d = 1.895 Å, rel. 20.3, (2 2 0)
57.28°, d = 1.609 Å, rel. 28.1, (2 1 4)
66.49°, d = 1.406 Å, rel. 20.9, (3 2 2)

---

Record 3
Starting from a cell relaxed with PBE, the powder diffractogram of Cs6Na4Tl13 was computed for a wavelength of 1.5418 Å.
No peak broadening, texture or thermal motion is included.

Structure:
abc: 12.165 12.165 12.165
angles: 90.00 90.00 90.00
Space group Im-3 (No. 204)
One atom of each set of equivalent atoms:
Cs: 0.000 0.171 0.500
Na: 0.250 0.250 0.250
Tl: 0.000 0.000 0.000
Tl: 0.000 0.234 0.139

The 10 most intense peaks (2θ from 5° to 70°), in order of rising 2θ:
10.28°, d = 8.602 Å, rel. 81.5, (1 1 0)
27.43°, d = 3.251 Å, rel. 100.0, (3 1 2)
29.37°, d = 3.041 Å, rel. 25.3, (4 0 0)
31.19°, d = 2.867 Å, rel. 33.8, (3 3 0)
32.93°, d = 2.720 Å, rel. 74.6, (4 2 0)
34.59°, d = 2.594 Å, rel. 47.6, (3 3 2)
45.99°, d = 1.973 Å, rel. 29.8, (5 2 3)
50.91°, d = 1.794 Å, rel. 17.0, (6 1 3)
54.39°, d = 1.687 Å, rel. 22.3, (6 4 0)
56.62°, d = 1.626 Å, rel. 18.2, (6 2 4)